Er2TmScS4: theoretical PXRD pattern (copper Kα), based on the PBE geometry in Alexandria.
Peak positions follow from Bragg's law for the DFT cell and can differ from measured ones.

Structure:
a b c (Å): 6.620 3.792 6.642
angles (deg): 90.00 109.13 90.00
Fractional positions:
Er 0.000 0.000 0.000
Er 0.500 0.500 0.000
Tm 0.000 0.500 0.500
Sc 0.500 0.000 0.500
S 0.253 0.000 0.745
S 0.257 0.500 0.259
S 0.743 0.500 0.741
S 0.747 0.000 0.255

Principal peaks in the range 10° ≤ 2θ ≤ 90°, in order of rising 2θ:
14.14°, I = 14, hkl 1 0 0; 28.49°, I = 36, hkl 2 0 0; 28.76°, I = 35, hkl 1 1 -1; 33.18°, I = 100, hkl 1 1 1; 47.56°, I = 24, hkl 1 1 -3; 47.68°, I = 24, hkl 3 1 -1